Starting from a cell relaxed with PBE, the X-ray powder pattern of KMg2Cd3 was computed for Cu Kα X-rays.
No peak broadening, texture or thermal motion is included.

Atomic structure:
a = 7.6327 Å, b = 7.6327 Å, c = 6.0322 Å
α = 90.00°, β = 90.00°, γ = 79.36°
Sites, in units of the cell vectors:
K 0.1728 0.8272 0.7500
K 0.8272 0.1728 0.2500
Mg 0.2835 0.2835 0.0000
Mg 0.2835 0.2835 0.5000
Mg 0.7165 0.7165 0.0000
Mg 0.7165 0.7165 0.5000
Cd 0.0400 0.5720 0.2500
Cd 0.4280 0.9600 0.2500
Cd 0.4328 0.5672 0.2500
Cd 0.5672 0.4328 0.7500
Cd 0.5720 0.0400 0.7500
Cd 0.9600 0.4280 0.7500

Largest 12 diffraction maxima, in order of rising 2θ, 2θ = 15–90°:
d = 4.701 Å, 18.88 deg, I 53
d = 3.751 Å, 23.72 deg, I 62
d = 3.185 Å, 28.01 deg, I 63
d = 3.113 Å, 28.68 deg, I 88
d = 3.016 Å, 29.62 deg, I 64
d = 2.565 Å, 34.99 deg, I 36
d = 2.350 Å, 38.29 deg, I 84
d = 2.321 Å, 38.80 deg, I 34
d = 2.310 Å, 38.99 deg, I 100
d = 2.251 Å, 40.06 deg, I 28
d = 2.136 Å, 42.31 deg, I 48
d = 1.567 Å, 58.94 deg, I 28